[1]
Starting from a DFT-relaxed cell (PBE, Alexandria), the powder XRD pattern of Ho5Ni2Ir was simulated for Cu Kα.
Intensities are scaled so that the largest is 100.

Cell and atoms:
a = 7.0087 Å, b = 7.0087 Å, c = 14.5956 Å
α = 90.00°, β = 90.00°, γ = 90.00°
Space group I4/mcm (No. 140)
One atom of each set of equivalent atoms:
Ho1 0.0000 0.0000 0.0000
Ho2 0.1751 0.3249 0.1463
Ni1 0.1199 0.3801 0.5000
Ir1 0.0000 0.0000 0.2500

Top 10 peaks for 2θ from 10° to 80°, by angle:
d [Å], Rel. int.
3.065, 21
2.938, 38
2.635, 100
2.528, 77
2.478, 26
2.216, 55
1.736, 16
1.605, 20
1.505, 24
1.409, 16

[2]
Starting from a DFT-relaxed cell (PBE, Alexandria), the powder XRD pattern of Dy5Y2Th3 was simulated for Cu Kα.
Intensities are scaled so that the largest is 100.

Cell and atoms:
a = 11.2288 Å, b = 5.0391 Å, c = 11.2892 Å
α = 90.00°, β = 90.46°, γ = 90.00°
Space group C2/m (No. 12)
One atom of each set of equivalent atoms:
Dy1 0.0000 0.0000 0.0000
Dy2 0.1991 0.5000 0.1012
Dy3 0.2001 0.0000 0.5994
Y1 0.0981 0.5000 0.7979
Th1 0.0000 0.5000 0.5000
Th2 0.0988 0.0000 0.3003

Top 10 peaks for 2θ from 10° to 80°, by angle:
d [Å], Rel. int.
2.908, 100
2.907, 100
2.530, 34
2.520, 34
2.506, 33
1.785, 24
1.524, 29
1.519, 29
1.513, 28
1.454, 25

[3]
Starting from a DFT-relaxed cell (PBE, Alexandria), the powder XRD pattern of Cu6Se2SBr2 was simulated for Cu Kα.
Intensities are scaled so that the largest is 100.

Cell and atoms:
a = 7.3202 Å, b = 11.1660 Å, c = 7.2643 Å
α = 90.00°, β = 119.49°, γ = 90.00°
Space group C2/m (No. 12)
One atom of each set of equivalent atoms:
Cu1 0.0051 0.0000 0.2577
Cu2 0.1990 0.3369 0.0738
Se1 0.0000 0.1478 0.0000
S1 0.0000 0.5000 0.0000
Br1 0.0000 0.1597 0.5000

Top 10 peaks for 2θ from 10° to 80°, by angle:
d [Å], Rel. int.
6.323, 85
5.534, 100
5.486, 30
3.161, 33
2.748, 41
2.091, 42
2.086, 22
2.017, 59
2.011, 66
1.861, 24

[4]
Starting from a DFT-relaxed cell (PBE, Alexandria), the powder XRD pattern of Th5Zn was simulated for Cu Kα.
Intensities are scaled so that the largest is 100.

Cell and atoms:
a = 4.9236 Å, b = 15.0615 Å, c = 4.8490 Å
α = 90.00°, β = 90.00°, γ = 90.00°
Space group Cmmm (No. 65)
One atom of each set of equivalent atoms:
Th1 0.0000 0.0000 0.0000
Th2 0.0000 0.1620 0.5000
Th3 0.0000 0.3386 0.0000
Zn1 0.0000 0.5000 0.5000

Top 10 peaks for 2θ from 10° to 80°, by angle:
d [Å], Rel. int.
2.846, 100
2.510, 17
2.462, 17
2.425, 16
1.758, 13
1.744, 12
1.506, 15
1.485, 15
1.469, 14
1.423, 12